No. 1
This entry pairs a crystal structure of Cs2CaAgF6 with its theoretical XRD peak list. Radiation: Cu Kα (λ = 1.5418 Å). Structure: a DFT-relaxed cell (PBE, Alexandria).
Lines closer than 0.1° are merged.

Structural model:
a b c (Å): 4.544 4.544 9.101
angles (deg): 90.00 90.00 90.00
Sites, in units of the cell vectors:
Cs 0.000 0.000 0.243
Cs 0.000 0.000 0.757
Ca 0.500 0.500 0.500
Ag 0.500 0.500 0.000
F 0.000 0.500 0.000
F 0.000 0.500 0.500
F 0.500 0.000 0.000
F 0.500 0.000 0.500
F 0.500 0.500 0.247
F 0.500 0.500 0.753

Top 12 peaks for 2θ from 5° to 70°, low angle first:
Position (°2θ)  I/Imax
9.72  8
19.53  3
21.86  3
27.75  100
29.48  3
34.16  14
35.58  2
39.65  38
49.08  41
57.32  24
64.85  18
68.44  4


No. 2
This entry pairs a crystal structure of NaAc4Ge3O12 with its theoretical XRD peak list. Radiation: Cu Kα (λ = 1.5418 Å). Structure: a DFT-relaxed cell (PBE, Alexandria).
Lines closer than 0.1° are merged.

Structural model:
a b c (Å): 7.601 7.601 7.601
angles (deg): 109.47 109.47 109.47
Sites, in units of the cell vectors:
Na 0.000 0.000 0.000
Ac 0.000 0.000 0.500
Ac 0.000 0.500 0.000
Ac 0.500 0.000 0.000
Ac 0.500 0.500 0.500
Ge 0.000 0.500 0.500
Ge 0.500 0.000 0.500
Ge 0.500 0.500 0.000
O 0.148 0.346 0.494
O 0.148 0.654 0.801
O 0.199 0.852 0.346
O 0.346 0.199 0.852
O 0.346 0.494 0.148
O 0.494 0.148 0.346
O 0.506 0.852 0.654
O 0.654 0.506 0.852
O 0.654 0.801 0.148
O 0.801 0.148 0.654
O 0.852 0.346 0.199
O 0.852 0.654 0.506

Top 12 peaks for 2θ from 5° to 70°, low angle first:
Position (°2θ)  I/Imax
14.27  2
20.24  35
24.85  2
28.77  100
32.25  1
35.43  12
41.14  19
46.26  22
50.97  48
59.59  13
63.61  8
67.49  20


No. 3
This entry pairs a crystal structure of TaTl2SiO6 with its theoretical XRD peak list. Radiation: Cu Kα (λ = 1.5418 Å). Structure: a DFT-relaxed cell (PBE, Alexandria).
Lines closer than 0.1° are merged.

Structural model:
a b c (Å): 6.847 6.844 5.114
angles (deg): 68.10 68.04 43.86
Sites, in units of the cell vectors:
Ta 0.000 0.000 0.000
Tl 0.248 0.248 0.252
Tl 0.748 0.748 0.752
Si 0.503 0.503 0.497
O 0.156 0.156 0.844
O 0.227 0.695 0.773
O 0.228 0.696 0.304
O 0.646 0.646 0.354
O 0.695 0.227 0.305
O 0.696 0.228 0.772

Top 12 peaks for 2θ from 5° to 70°, low angle first:
Position (°2θ)  I/Imax
18.96  15
28.91  6
29.08  100
30.76  24
35.10  28
38.46  10
47.36  23
50.48  15
53.67  21
59.28  15
59.35  14
60.29  14